For Ca3Ga3Ag8, a DFT-relaxed cell (GGA-PBE, Alexandria) gives the computed PXRD pattern in this record (copper Kα).
Kinematic intensities with the Lorentz-polarization factor, no thermal factor.

Cell and atoms:
Cell lengths 8.537, 8.537, 8.537 Å; angles 148.50, 109.35, 79.40 degrees
Atoms (fractional coordinates):
Ca 0.000 0.000 0.000
Ca 0.297 0.297 0.000
Ca 0.703 0.703 0.000
Ga 0.317 0.500 0.817
Ga 0.500 0.000 0.500
Ga 0.683 0.500 0.183
Ag 0.020 0.660 0.360
Ag 0.163 0.873 0.290
Ag 0.299 0.660 0.640
Ag 0.417 0.127 0.290
Ag 0.583 0.873 0.710
Ag 0.701 0.340 0.360
Ag 0.837 0.127 0.710
Ag 0.980 0.340 0.640

Top 12 peaks for 10° ≤ 2θ ≤ 90°, by angle:
| two_theta | I_rel |
| --- | --- |
| 17.97 | 51 |
| 21.18 | 40 |
| 32.75 | 42 |
| 33.39 | 61 |
| 33.50 | 75 |
| 34.69 | 37 |
| 36.16 | 44 |
| 38.87 | 81 |
| 42.04 | 42 |
| 43.58 | 100 |
| 46.54 | 38 |
| 57.98 | 30 |

---

For Ca4GaAg2, a DFT-relaxed cell (GGA-PBE, Alexandria) gives the computed PXRD pattern in this record (copper Kα).
Kinematic intensities with the Lorentz-polarization factor, no thermal factor.

Cell and atoms:
Cell lengths 8.955, 8.955, 8.955 Å; angles 34.01, 34.01, 34.01 degrees
Atoms (fractional coordinates):
Ca 0.124 0.124 0.124
Ca 0.375 0.375 0.375
Ca 0.625 0.625 0.625
Ca 0.876 0.876 0.876
Ga 0.000 0.000 0.000
Ag 0.251 0.251 0.251
Ag 0.749 0.749 0.749

Top 12 peaks for 10° ≤ 2θ ≤ 90°, by angle:
| two_theta | I_rel |
| --- | --- |
| 10.50 | 15 |
| 20.80 | 37 |
| 24.15 | 18 |
| 34.24 | 100 |
| 34.59 | 97 |
| 40.56 | 13 |
| 49.46 | 33 |
| 61.31 | 17 |
| 61.53 | 33 |
| 62.20 | 16 |
| 82.53 | 14 |
| 83.12 | 13 |

---

For CaGa8Ag2, a DFT-relaxed cell (GGA-PBE, Alexandria) gives the computed PXRD pattern in this record (copper Kα).
Kinematic intensities with the Lorentz-polarization factor, no thermal factor.

Cell and atoms:
Cell lengths 5.348, 5.348, 9.280 Å; angles 90.00, 90.00, 90.00 degrees
Atoms (fractional coordinates):
Ca 0.000 0.000 0.000
Ga 0.253 0.253 0.273
Ga 0.253 0.253 0.727
Ga 0.253 0.747 0.273
Ga 0.253 0.747 0.727
Ga 0.747 0.253 0.273
Ga 0.747 0.253 0.727
Ga 0.747 0.747 0.273
Ga 0.747 0.747 0.727
Ag 0.000 0.500 0.500
Ag 0.500 0.000 0.500

Top 12 peaks for 10° ≤ 2θ ≤ 90°, by angle:
| two_theta | I_rel |
| --- | --- |
| 19.13 | 17 |
| 25.43 | 28 |
| 33.51 | 10 |
| 37.57 | 10 |
| 38.86 | 100 |
| 44.80 | 15 |
| 48.12 | 23 |
| 49.13 | 9 |
| 55.18 | 9 |
| 63.47 | 15 |
| 70.31 | 8 |
| 83.46 | 24 |

---

Number 3 is which compound? CaGa8Ag2

---

Which formula does entry 3 have? CaGa8Ag2